The following is a calculated X-ray powder pattern of ScSnSe3. It was derived from a cell relaxed with PBE, using CuKα.
Neutral-atom scattering factors, no anomalous dispersion.

Atomic structure:
```
data_ScSnSe3
_space_group_name_H-M_alt 'C m c 21'
_space_group_IT_number 36
_cell_length_a 3.9288
_cell_length_b 20.3689
_cell_length_c 6.9779
_cell_angle_alpha 90.00
_cell_angle_beta 90.00
_cell_angle_gamma 90.00
loop_
_space_group_symop_operation_xyz
'x,y,z'
'-x,-y,z+1/2'
'-x,y,z'
'x,-y,z+1/2'
'x+1/2,y+1/2,z'
'-x+1/2,-y+1/2,z+1/2'
'-x+1/2,y+1/2,z'
'x+1/2,-y+1/2,z+1/2'
loop_
_atom_site_label
_atom_site_fract_x
_atom_site_fract_y
_atom_site_fract_z
Sc1 0.0000 0.1717 0.0000
Sn1 0.0000 0.3504 0.0074
Se1 0.0000 0.0860 0.6965
Se2 0.0000 0.2519 0.3223
Se3 0.0000 0.4013 0.6508
```

Largest 12 diffraction maxima, in order of rising 2θ, 10° ≤ 2θ ≤ 80°:
| two_theta | I_rel | index |
| --- | --- | --- |
| 17.42 | 40.1 | 0 4 0 |
| 26.22 | 17.1 | 1 3 0 |
| 27.01 | 19.1 | 0 2 2 |
| 29.22 | 100.0 | 1 3 1 |
| 31.07 | 35.2 | 0 4 2 |
| 34.21 | 61.9 | 1 5 1 |
| 36.94 | 50.6 | 0 6 2 |
| 40.69 | 27.4 | 1 7 1 |
| 45.54 | 55.5 | 1 1 3 |
| 46.21 | 25.5 | 2 0 0 |
| 48.20 | 26.6 | 1 9 1 |
| 60.58 | 21.0 | 2 6 2 |

***

The following is a calculated X-ray powder pattern of SrSc2Se. It was derived from a cell relaxed with PBE, using CuKα.
Neutral-atom scattering factors, no anomalous dispersion.

Atomic structure:
```
data_SrSc2Se
_space_group_name_H-M_alt 'P 4 m m'
_space_group_IT_number 99
_cell_length_a 3.6438
_cell_length_b 3.6438
_cell_length_c 8.0623
_cell_angle_alpha 90.00
_cell_angle_beta 90.00
_cell_angle_gamma 90.00
loop_
_space_group_symop_operation_xyz
'x,y,z'
'-y,x,z'
'-x,-y,z'
'y,-x,z'
'-x,y,z'
'y,x,z'
'x,-y,z'
'-y,-x,z'
loop_
_atom_site_label
_atom_site_fract_x
_atom_site_fract_y
_atom_site_fract_z
Sr1 0.0000 0.0000 0.0000
Sc1 0.0000 0.0000 0.5632
Sc2 0.5000 0.5000 0.3378
Se1 0.5000 0.5000 0.7085
```

Largest 12 diffraction maxima, in order of rising 2θ, 10° ≤ 2θ ≤ 80°:
| two_theta | I_rel | index |
| --- | --- | --- |
| 10.97 | 23.5 | 0 0 1 |
| 26.85 | 33.5 | 1 0 1 |
| 33.14 | 100.0 | 1 0 2 |
| 33.34 | 16.6 | 0 0 3 |
| 34.82 | 64.6 | 1 1 0 |
| 41.76 | 12.8 | 1 0 3 |
| 48.98 | 21.7 | 1 1 3 |
| 50.07 | 22.0 | 2 0 0 |
| 57.72 | 8.1 | 2 1 1 |
| 61.37 | 31.6 | 2 1 2 |
| 61.49 | 10.8 | 2 0 3 |
| 63.04 | 13.4 | 1 0 5 |

***

The following is a calculated X-ray powder pattern of Sc2TaSe. It was derived from a cell relaxed with PBE, using CuKα.
Neutral-atom scattering factors, no anomalous dispersion.

Atomic structure:
```
data_Sc2TaSe
_space_group_name_H-M_alt 'C m m m'
_space_group_IT_number 65
_space_group_name_Hall '-C 2 2'
_cell_length_a 4.0094
_cell_length_b 5.0328
_cell_length_c 8.0191
_cell_angle_alpha 90.00
_cell_angle_beta 90.00
_cell_angle_gamma 90.00
loop_
_atom_site_label
_atom_site_fract_x
_atom_site_fract_y
_atom_site_fract_z
Sc1 0.0000 0.0000 0.2329
Ta1 0.0000 0.5000 0.5000
Se1 0.0000 0.5000 0.0000
```

Largest 12 diffraction maxima, in order of rising 2θ, 10° ≤ 2θ ≤ 80°:
| two_theta | I_rel | index |
| --- | --- | --- |
| 11.03 | 25.5 | 0 0 1 |
| 22.17 | 20.8 | 0 0 2 |
| 28.46 | 22.3 | 1 1 0 |
| 30.61 | 15.4 | 1 1 1 |
| 35.68 | 26.7 | 0 2 0 |
| 36.37 | 100.0 | 1 1 2 |
| 45.23 | 26.4 | 2 0 0 |
| 54.31 | 8.8 | 1 1 4 |
| 58.90 | 23.7 | 2 2 0 |
| 64.55 | 18.0 | 1 3 2 |
| 77.24 | 10.3 | 2 2 4 |
| 77.66 | 20.2 | 3 1 2 |

***

The following is a calculated X-ray powder pattern of Tb3ScSe6. It was derived from a cell relaxed with PBE, using CuKα.
Neutral-atom scattering factors, no anomalous dispersion.

Atomic structure:
```
data_Tb3ScSe6
_space_group_name_H-M_alt 'R -3'
_space_group_IT_number 148
_space_group_name_Hall '-R 3'
_cell_length_a 11.8347
_cell_length_b 11.8347
_cell_length_c 14.1181
_cell_angle_alpha 90.00
_cell_angle_beta 90.00
_cell_angle_gamma 120.00
loop_
_atom_site_label
_atom_site_fract_x
_atom_site_fract_y
_atom_site_fract_z
Tb1 0.0534 0.2726 0.2000
Sc1 0.0000 0.0000 0.0000
Sc2 0.0000 0.0000 0.5000
Se1 0.0188 0.2036 0.3968
Se2 0.0327 0.1928 0.8824
```

Largest 12 diffraction maxima, in order of rising 2θ, 10° ≤ 2θ ≤ 80°:
| two_theta | I_rel | index |
| --- | --- | --- |
| 18.42 | 19.9 | 0 2 1 |
| 18.86 | 59.7 | 0 0 3 |
| 23.82 | 100.0 | 2 1 1 |
| 24.16 | 27.9 | 1 1 3 |
| 34.00 | 80.7 | 3 1 2 |
| 34.37 | 88.4 | 2 1 4 |
| 38.83 | 16.6 | 3 2 1 |
| 40.33 | 68.5 | 1 4 0 |
| 41.29 | 38.0 | 1 1 6 |
| 44.87 | 25.5 | 1 4 3 |
| 45.27 | 21.6 | 4 -1 5 |
| 49.49 | 17.4 | 4 -2 6 |

***

The following is a calculated X-ray powder pattern of Tb2ScSe3. It was derived from a cell relaxed with PBE, using CuKα.
Neutral-atom scattering factors, no anomalous dispersion.

Atomic structure:
```
data_Tb2ScSe3
_space_group_name_H-M_alt 'F d d d'
_space_group_IT_number 70
_cell_length_a 8.1386
_cell_length_b 11.3712
_cell_length_c 23.9211
_cell_angle_alpha 90.00
_cell_angle_beta 90.00
_cell_angle_gamma 90.00
loop_
_space_group_symop_operation_xyz
'x,y,z'
'-x,-y,-z'
'-x+1/4,-y+1/4,z'
'x+1/4,y+1/4,-z'
'x,-y+1/4,-z+1/4'
'-x,y+1/4,z+1/4'
'-x+1/4,y,-z+1/4'
'x+1/4,-y,z+1/4'
'x,y+1/2,z+1/2'
'-x,-y+1/2,-z+1/2'
'-x+1/4,-y+3/4,z+1/2'
'x+1/4,y+3/4,-z+1/2'
'x,-y+3/4,-z+3/4'
'-x,y+3/4,z+3/4'
'-x+1/4,y+1/2,-z+3/4'
'x+1/4,-y+1/2,z+3/4'
'x+1/2,y,z+1/2'
'-x+1/2,-y,-z+1/2'
'-x+3/4,-y+1/4,z+1/2'
'x+3/4,y+1/4,-z+1/2'
'x+1/2,-y+1/4,-z+3/4'
'-x+1/2,y+1/4,z+3/4'
'-x+3/4,y,-z+3/4'
'x+3/4,-y,z+3/4'
'x+1/2,y+1/2,z'
'-x+1/2,-y+1/2,-z'
'-x+3/4,-y+3/4,z'
'x+3/4,y+3/4,-z'
'x+1/2,-y+3/4,-z+1/4'
'-x+1/2,y+3/4,z+1/4'
'-x+3/4,y+1/2,-z+1/4'
'x+3/4,-y+1/2,z+1/4'
loop_
_atom_site_label
_atom_site_fract_x
_atom_site_fract_y
_atom_site_fract_z
Tb1 0.1250 0.1250 0.0448
Tb2 0.1250 0.1250 0.3733
Sc1 0.1250 0.1250 0.5448
Se1 0.1123 0.3750 0.8750
Se2 0.1178 0.3689 0.7113
```

Largest 12 diffraction maxima, in order of rising 2θ, 10° ≤ 2θ ≤ 80°:
| two_theta | I_rel | index |
| --- | --- | --- |
| 13.88 | 8.7 | 1 1 1 |
| 26.94 | 4.1 | 2 2 0 |
| 31.43 | 100.0 | 0 4 0 |
| 44.53 | 12.5 | 4 0 0 |
| 45.06 | 48.3 | 2 4 6 |
| 45.50 | 11.8 | 0 0 12 |
| 55.54 | 12.8 | 4 4 0 |
| 56.37 | 12.1 | 0 4 12 |
| 65.56 | 7.5 | 4 0 12 |
| 73.79 | 5.5 | 6 0 6 |
| 74.58 | 20.7 | 2 8 6 |
| 75.21 | 4.9 | 2 0 18 |

***

The following is a calculated X-ray powder pattern of TbSc3Se4. It was derived from a cell relaxed with PBE, using CuKα.
Neutral-atom scattering factors, no anomalous dispersion.

Atomic structure:
```
data_TbSc3Se4
_space_group_name_H-M_alt 'C m m m'
_space_group_IT_number 65
_space_group_name_Hall '-C 2 2'
_cell_length_a 7.9110
_cell_length_b 11.1299
_cell_length_c 3.9134
_cell_angle_alpha 90.00
_cell_angle_beta 90.00
_cell_angle_gamma 90.00
loop_
_atom_site_label
_atom_site_fract_x
_atom_site_fract_y
_atom_site_fract_z
Tb1 0.0000 0.0000 0.0000
Sc1 0.0000 0.5000 0.0000
Sc2 0.2500 0.2500 0.5000
Se1 0.0000 0.2558 0.0000
Se2 0.2382 0.5000 0.5000
```

Largest 12 diffraction maxima, in order of rising 2θ, 10° ≤ 2θ ≤ 80°:
| two_theta | I_rel | index |
| --- | --- | --- |
| 13.73 | 11.3 | 1 1 0 |
| 15.93 | 5.9 | 0 2 0 |
| 26.65 | 8.0 | 1 1 1 |
| 32.17 | 100.0 | 2 0 1 |
| 35.21 | 5.7 | 1 3 1 |
| 45.88 | 11.9 | 4 0 0 |
| 46.14 | 47.2 | 2 4 1 |
| 46.41 | 11.7 | 0 0 2 |
| 57.14 | 12.1 | 4 4 0 |
| 57.59 | 12.0 | 0 4 2 |
| 67.31 | 11.0 | 4 0 2 |
| 76.57 | 20.0 | 4 4 2 |

***

Please write out number 5 again, unchanged.
The following is a calculated X-ray powder pattern of Tb2ScSe3. It was derived from a cell relaxed with PBE, using CuKα.
Neutral-atom scattering factors, no anomalous dispersion.

Atomic structure:
```
data_Tb2ScSe3
_space_group_name_H-M_alt 'F d d d'
_space_group_IT_number 70
_cell_length_a 8.1386
_cell_length_b 11.3712
_cell_length_c 23.9211
_cell_angle_alpha 90.00
_cell_angle_beta 90.00
_cell_angle_gamma 90.00
loop_
_space_group_symop_operation_xyz
'x,y,z'
'-x,-y,-z'
'-x+1/4,-y+1/4,z'
'x+1/4,y+1/4,-z'
'x,-y+1/4,-z+1/4'
'-x,y+1/4,z+1/4'
'-x+1/4,y,-z+1/4'
'x+1/4,-y,z+1/4'
'x,y+1/2,z+1/2'
'-x,-y+1/2,-z+1/2'
'-x+1/4,-y+3/4,z+1/2'
'x+1/4,y+3/4,-z+1/2'
'x,-y+3/4,-z+3/4'
'-x,y+3/4,z+3/4'
'-x+1/4,y+1/2,-z+3/4'
'x+1/4,-y+1/2,z+3/4'
'x+1/2,y,z+1/2'
'-x+1/2,-y,-z+1/2'
'-x+3/4,-y+1/4,z+1/2'
'x+3/4,y+1/4,-z+1/2'
'x+1/2,-y+1/4,-z+3/4'
'-x+1/2,y+1/4,z+3/4'
'-x+3/4,y,-z+3/4'
'x+3/4,-y,z+3/4'
'x+1/2,y+1/2,z'
'-x+1/2,-y+1/2,-z'
'-x+3/4,-y+3/4,z'
'x+3/4,y+3/4,-z'
'x+1/2,-y+3/4,-z+1/4'
'-x+1/2,y+3/4,z+1/4'
'-x+3/4,y+1/2,-z+1/4'
'x+3/4,-y+1/2,z+1/4'
loop_
_atom_site_label
_atom_site_fract_x
_atom_site_fract_y
_atom_site_fract_z
Tb1 0.1250 0.1250 0.0448
Tb2 0.1250 0.1250 0.3733
Sc1 0.1250 0.1250 0.5448
Se1 0.1123 0.3750 0.8750
Se2 0.1178 0.3689 0.7113
```

Largest 12 diffraction maxima, in order of rising 2θ, 10° ≤ 2θ ≤ 80°:
| two_theta | I_rel | index |
| --- | --- | --- |
| 13.88 | 8.7 | 1 1 1 |
| 26.94 | 4.1 | 2 2 0 |
| 31.43 | 100.0 | 0 4 0 |
| 44.53 | 12.5 | 4 0 0 |
| 45.06 | 48.3 | 2 4 6 |
| 45.50 | 11.8 | 0 0 12 |
| 55.54 | 12.8 | 4 4 0 |
| 56.37 | 12.1 | 0 4 12 |
| 65.56 | 7.5 | 4 0 12 |
| 73.79 | 5.5 | 6 0 6 |
| 74.58 | 20.7 | 2 8 6 |
| 75.21 | 4.9 | 2 0 18 |